[1]
This entry pairs a crystal structure of Li2VFeP4O14 with its calculated powder X-ray diffraction pattern. Radiation: Cu Kα, 1.54184 Å. Structure: a crystal structure in the Materials Project, relaxed with GGA+U.

Unit cell a=4.897 b=7.041 c=8.261 alpha=89.64 beta=89.76 gamma=71.33
Fractional coordinates of all 22 atoms:
Li  0.000  0.000  0.000
Li  0.357  0.659  0.500
V  0.963  0.059  0.639
Fe  0.393  0.597  0.139
P  0.394  0.244  0.422
P  0.576  0.807  0.821
P  0.778  0.852  0.319
P  0.963  0.416  0.924
O  0.039  0.215  0.837
O  0.130  0.183  0.463
O  0.227  0.474  0.966
O  0.315  0.446  0.333
O  0.363  0.847  0.679
O  0.424  0.820  0.985
O  0.577  0.725  0.318
O  0.578  0.247  0.571
O  0.584  0.084  0.291
O  0.774  0.417  0.073
O  0.774  0.577  0.793
O  0.777  0.935  0.817
O  0.932  0.838  0.483
O  0.991  0.812  0.177

The 10 most intense peaks (10 to 80 degrees two-theta), by intensity:
Position (°2θ)	I/Imax	h k l
17.08	100.0	0 1 1
29.11	28.5	1 1 2
29.28	27.3	1 1 -2
28.84	27.0	-1 1 1
22.24	25.5	1 1 1
26.69	23.1	1 -1 0
21.98	21.9	1 0 -1
22.35	20.5	1 1 -1
29.51	13.9	1 2 1
29.65	13.6	1 2 -1

=====

[2]
This entry pairs a crystal structure of LiVFeP4O14 with its calculated powder X-ray diffraction pattern. Radiation: Cu Kα, 1.54184 Å. Structure: a crystal structure in the Materials Project, relaxed with GGA+U.

Unit cell a=4.902 b=6.948 c=8.174 alpha=90.01 beta=90.75 gamma=105.94
Fractional coordinates of all 21 atoms:
Li  0.000  0.000  0.000
V  0.459  0.530  0.909
Fe  0.884  0.990  0.413
P  0.052  0.762  0.721
P  0.287  0.756  0.224
P  0.440  0.153  0.644
P  0.920  0.365  0.143
O  0.089  0.893  0.216
O  0.100  0.531  0.266
O  0.115  0.329  0.004
O  0.230  0.613  0.750
O  0.250  0.168  0.499
O  0.250  0.984  0.772
O  0.406  0.745  0.051
O  0.513  0.803  0.355
O  0.524  0.342  0.751
O  0.678  0.444  0.073
O  0.700  0.087  0.603
O  0.806  0.176  0.239
O  0.817  0.739  0.849
O  0.958  0.762  0.545

The 10 most intense peaks (10 to 80 degrees two-theta), by intensity:
Position (°2θ)	I/Imax	h k l
17.14	100.0	0 1 -1
29.45	28.9	-1 1 2
29.77	24.3	1 -1 2
22.76	20.6	1 -1 1
22.56	19.5	-1 1 1
28.32	14.3	1 1 1
28.07	14.0	1 1 -1
21.90	13.6	1 0 1
25.96	13.5	1 1 0
25.54	11.1	0 1 -2

=====

[3]
This entry pairs a crystal structure of Li2VFeP4O14 with its calculated powder X-ray diffraction pattern. Radiation: Cu Kα, 1.54184 Å. Structure: a crystal structure in the Materials Project, relaxed with GGA+U.

Unit cell a=7.153 b=9.586 c=9.587 alpha=118.77 beta=100.71 gamma=100.69
Fractional coordinates of all 44 atoms:
Li  0.000  0.000  0.000
Li  0.000  0.500  0.500
Li  0.647  0.249  0.749
Li  0.648  0.750  0.250
V  0.052  0.324  0.688
V  0.595  0.062  0.925
Fe  0.056  0.826  0.190
Fe  0.591  0.561  0.424
P  0.238  0.023  0.603
P  0.238  0.524  0.103
P  0.409  0.147  0.227
P  0.409  0.647  0.726
P  0.802  0.097  0.280
P  0.802  0.598  0.780
P  0.845  0.969  0.652
P  0.846  0.470  0.153
O  0.077  0.474  0.184
O  0.077  0.974  0.684
O  0.176  0.381  0.921
O  0.176  0.881  0.419
O  0.208  0.041  0.211
O  0.208  0.544  0.711
O  0.240  0.692  0.123
O  0.241  0.193  0.622
O  0.405  0.128  0.057
O  0.408  0.628  0.557
O  0.438  0.039  0.706
O  0.440  0.539  0.209
O  0.470  0.330  0.368
O  0.472  0.830  0.869
O  0.570  0.066  0.276
O  0.570  0.566  0.776
O  0.718  0.803  0.488
O  0.719  0.304  0.989
O  0.806  0.485  0.310
O  0.806  0.985  0.810
O  0.816  0.611  0.628
O  0.818  0.111  0.130
O  0.829  0.120  0.639
O  0.831  0.621  0.139
O  0.841  0.440  0.765
O  0.841  0.940  0.266
O  0.929  0.262  0.446
O  0.929  0.762  0.946

The 10 most intense peaks (10 to 80 degrees two-theta), by intensity:
Position (°2θ)	I/Imax	h k l
17.11	100.0	1 1 -1
29.23	57.4	0 3 -1
22.33	44.9	0 2 0
28.93	28.9	2 0 -2
29.59	27.6	1 2 0
26.80	23.7	-2 1 1
22.05	21.6	1 -2 0
25.40	17.3	1 2 -2
34.62	16.6	2 2 -2
43.12	14.4	1 4 -2